[1]
Starting from a PBE-relaxed structure, the powder diffraction line list of AgC6 was computed for Cu Ka.

Cell: 5.135 15.016 5.273 Å, 90.00 90.00 90.00°
Atoms (fractional coordinates):
Ag 0.000 0.000 0.000
Ag 0.500 0.500 0.000
C 0.000 0.000 0.379
C 0.000 0.000 0.621
C 0.122 0.250 0.000
C 0.122 0.750 0.000
C 0.378 0.250 0.000
C 0.378 0.750 0.000
C 0.500 0.500 0.379
C 0.500 0.500 0.621
C 0.622 0.250 0.000
C 0.622 0.750 0.000
C 0.878 0.250 0.000
C 0.878 0.750 0.000

Most intense lines, 10° ≤ 2θ ≤ 80°, low angle first:
index	Position (°2θ)	I/Imax
0 2 0	11.79	50
0 0 1	16.82	67
1 1 0	18.26	100
0 4 0	23.70	48
1 3 0	24.88	91
0 4 1	29.20	33
1 3 1	30.15	28
2 4 0	42.61	25

[2]
Starting from a PBE-relaxed structure, the powder diffraction line list of MgHg3Pd6 was computed for Cu Ka.

Cell: 7.819 4.681 9.884 Å, 90.00 108.88 90.00°
Atoms (fractional coordinates):
Mg 0.056 0.250 0.389
Mg 0.944 0.750 0.611
Hg 0.239 0.250 0.993
Hg 0.345 0.750 0.800
Hg 0.460 0.250 0.599
Hg 0.540 0.750 0.401
Hg 0.655 0.250 0.200
Hg 0.761 0.750 0.007
Pd 0.045 0.750 0.899
Pd 0.143 0.250 0.681
Pd 0.145 0.750 0.207
Pd 0.233 0.750 0.503
Pd 0.345 0.250 0.295
Pd 0.445 0.750 0.101
Pd 0.555 0.250 0.899
Pd 0.655 0.750 0.705
Pd 0.767 0.250 0.497
Pd 0.855 0.250 0.793
Pd 0.857 0.750 0.319
Pd 0.955 0.250 0.101

Most intense lines, 10° ≤ 2θ ≤ 80°, low angle first:
index	Position (°2θ)	I/Imax
2 0 -4	38.31	54
0 2 0	38.46	57
3 1 -1	39.64	100
1 1 3	39.79	98
2 2 -4	55.41	37
5 1 -5	70.06	17
3 3 -1	70.36	35
1 3 3	70.46	18

[3]
Starting from a PBE-relaxed structure, the powder diffraction line list of Pa5OsC4 was computed for Cu Ka.

Cell: 6.961 8.063 6.069 Å, 90.00 90.00 90.00°
Atoms (fractional coordinates):
Pa 0.006 0.076 0.222
Pa 0.006 0.424 0.222
Pa 0.250 0.250 0.650
Pa 0.494 0.076 0.222
Pa 0.494 0.424 0.222
Pa 0.506 0.576 0.778
Pa 0.506 0.924 0.778
Pa 0.750 0.750 0.350
Pa 0.994 0.576 0.778
Pa 0.994 0.924 0.778
Os 0.250 0.750 0.350
Os 0.750 0.250 0.650
C 0.030 0.750 0.117
C 0.250 0.517 0.484
C 0.250 0.983 0.484
C 0.470 0.750 0.117
C 0.530 0.250 0.883
C 0.750 0.017 0.516
C 0.750 0.483 0.516
C 0.970 0.250 0.883

Most intense lines, 10° ≤ 2θ ≤ 80°, low angle first:
index	Position (°2θ)	I/Imax
0 0 2	29.43	51
2 1 1	31.65	100
2 2 0	34.03	62
0 3 1	36.57	97
2 0 2	39.39	29
2 2 2	45.60	28
2 4 0	52.51	36
4 3 1	65.76	43